# Ag3Hg4F12
Theoretical X-ray diffraction stick pattern, Cu Ka. Input: a crystal structure in Alexandria, relaxed with PBE.
No peak broadening, texture or thermal motion is included.

Main lines, in order of rising 2θ (2θ from 10° to 80°):
14.3°, intensity 8
20.2°, intensity 24
28.8°, intensity 100
35.4°, intensity 4
41.1°, intensity 25
46.2°, intensity 13
51.0°, intensity 51
59.6°, intensity 14
63.6°, intensity 5
67.5°, intensity 19
71.3°, intensity 4
74.9°, intensity 5

Cell and atoms:
Lattice parameters (Å, degrees): 7.6029 7.6029 7.6029 109.47 109.47 109.47
Sites, in units of the cell vectors:
1 Ag 0.0000 0.5000 0.5000
2 Ag 0.5000 0.0000 0.5000
3 Ag 0.5000 0.5000 0.0000
4 Hg 0.0000 0.0000 0.5000
5 Hg 0.0000 0.5000 0.0000
6 Hg 0.5000 0.0000 0.0000
7 Hg 0.5000 0.5000 0.5000
8 F 0.1320 0.8110 0.3210
9 F 0.1890 0.3210 0.5100
10 F 0.1890 0.6790 0.8680
11 F 0.3210 0.1320 0.8110
12 F 0.3210 0.5100 0.1890
13 F 0.4900 0.8110 0.6790
14 F 0.5100 0.1890 0.3210
15 F 0.6790 0.4900 0.8110
16 F 0.6790 0.8680 0.1890
17 F 0.8110 0.3210 0.1320
18 F 0.8110 0.6790 0.4900
19 F 0.8680 0.1890 0.6790